# YFe3Se2ClO8
Simulated PXRD pattern, Cu Kα. Input: the PBE+U geometry in Alexandria.
Kinematic intensities with the Lorentz-polarization factor, no thermal factor.

Structural model:
abc: 6.5287 9.6668 7.2413
angles: 90.00 90.00 90.00
Element x y z (fractional)
Y (0.2500, 0.2500, 0.2236)
Y (0.7500, 0.7500, 0.7764)
Fe (0.0000, 0.0000, 0.5000)
Fe (0.0000, 0.5000, 0.5000)
Fe (0.2500, 0.2500, 0.7000)
Fe (0.5000, 0.0000, 0.5000)
Fe (0.5000, 0.5000, 0.5000)
Fe (0.7500, 0.7500, 0.3000)
Se (0.2500, 0.5622, 0.9178)
Se (0.2500, 0.9378, 0.9178)
Se (0.7500, 0.0622, 0.0822)
Se (0.7500, 0.4378, 0.0822)
Cl (0.2500, 0.7500, 0.3809)
Cl (0.7500, 0.2500, 0.6191)
O (0.0419, 0.5913, 0.7749)
O (0.0419, 0.9087, 0.7749)
O (0.2500, 0.1131, 0.4892)
O (0.2500, 0.1185, 0.9240)
O (0.2500, 0.3815, 0.9240)
O (0.2500, 0.3869, 0.4892)
O (0.4581, 0.5913, 0.7749)
O (0.4581, 0.9087, 0.7749)
O (0.5419, 0.0913, 0.2251)
O (0.5419, 0.4087, 0.2251)
O (0.7500, 0.6131, 0.5108)
O (0.7500, 0.6185, 0.0760)
O (0.7500, 0.8815, 0.0760)
O (0.7500, 0.8869, 0.5108)
O (0.9581, 0.0913, 0.2251)
O (0.9581, 0.4087, 0.2251)

Most intense lines, 2θ = 10–90°, by angle:
Position (°2θ)  Rel. int.
16.38  30
26.03  36
27.32  29
30.03  37
30.89  100
33.39  31
35.42  60
53.54  31

***

# Sr4Fe3ClO8
Simulated PXRD pattern, Cu Kα. Input: the PBE+U geometry in Alexandria.
Kinematic intensities with the Lorentz-polarization factor, no thermal factor.

Structural model:
abc: 3.9669 3.9669 15.8073
angles: 90.00 90.00 90.00
Element x y z (fractional)
Sr (0.0000, 0.0000, 0.1128)
Sr (0.0000, 0.0000, 0.3700)
Sr (0.0000, 0.0000, 0.6300)
Sr (0.0000, 0.0000, 0.8872)
Fe (0.5000, 0.5000, 0.0000)
Fe (0.5000, 0.5000, 0.2521)
Fe (0.5000, 0.5000, 0.7479)
Cl (0.5000, 0.5000, 0.5000)
O (0.0000, 0.5000, 0.0000)
O (0.0000, 0.5000, 0.2854)
O (0.0000, 0.5000, 0.7146)
O (0.5000, 0.0000, 0.0000)
O (0.5000, 0.0000, 0.2854)
O (0.5000, 0.0000, 0.7146)
O (0.5000, 0.5000, 0.1344)
O (0.5000, 0.5000, 0.8656)

Most intense lines, 2θ = 10–90°, by angle:
Position (°2θ)  Rel. int.
31.95  100
39.39  8
45.74  21
45.93  7
56.89  25
57.01  13
66.83  9
75.86  10

***

# Sr3Fe2Cl2O5
Simulated PXRD pattern, Cu Kα. Input: the PBE+U geometry in Alexandria.
Kinematic intensities with the Lorentz-polarization factor, no thermal factor.

Structural model:
abc: 12.4832 12.4832 12.4832
angles: 161.56 161.56 26.19
Element x y z (fractional)
Sr (0.0000, 0.0000, 0.0000)
Sr (0.1554, 0.1554, 0.0000)
Sr (0.8446, 0.8446, 0.0000)
Fe (0.4210, 0.4210, 0.0000)
Fe (0.5790, 0.5790, 0.0000)
Cl (0.2970, 0.2970, 0.0000)
Cl (0.7030, 0.7030, 0.0000)
O (0.0901, 0.5901, 0.5000)
O (0.4099, 0.9099, 0.5000)
O (0.5000, 0.5000, 0.0000)
O (0.5901, 0.0901, 0.5000)
O (0.9099, 0.4099, 0.5000)

Most intense lines, 2θ = 10–90°, by angle:
Position (°2θ)  Rel. int.
28.90  15
31.63  64
34.19  100
38.82  23
45.34  39
57.99  41
66.06  12
75.09  10

***

# Sr2FeClO3
Simulated PXRD pattern, Cu Kα. Input: the PBE+U geometry in Alexandria.
Kinematic intensities with the Lorentz-polarization factor, no thermal factor.

Structural model:
abc: 3.9833 3.9833 14.5130
angles: 90.00 90.00 90.00
Element x y z (fractional)
Sr (0.2500, 0.2500, 0.0955)
Sr (0.2500, 0.2500, 0.3421)
Sr (0.7500, 0.7500, 0.6579)
Sr (0.7500, 0.7500, 0.9045)
Fe (0.2500, 0.2500, 0.7938)
Fe (0.7500, 0.7500, 0.2062)
Cl (0.2500, 0.2500, 0.5780)
Cl (0.7500, 0.7500, 0.4220)
O (0.2500, 0.2500, 0.9259)
O (0.2500, 0.7500, 0.2294)
O (0.2500, 0.7500, 0.7706)
O (0.7500, 0.2500, 0.2294)
O (0.7500, 0.2500, 0.7706)
O (0.7500, 0.7500, 0.0741)

Most intense lines, 2θ = 10–90°, by angle:
Position (°2θ)  Rel. int.
12.20  25
29.04  29
31.77  98
33.41  100
38.37  25
40.55  32
45.55  54
57.65  40